1.
Computed X-ray powder pattern of DyFe9B4 for Cu Kα (weighted mean of Kα1 and Kα2), from a GGA-PBE-relaxed structure.

Structure:
```
28
Lattice="-3.6585 3.6585 5.4239 3.6585 -3.6585 5.4239 3.6585 3.6585 -5.4239" Properties=species:S:1:pos:R:3 pbc="T T T"
Dy 0.0000 0.0000 2.7120
Dy 0.0000 0.0000 8.1359
Fe 3.6585 0.0000 0.0000
Fe 2.6666 -0.9919 2.0126
Fe 5.8992 0.5874 0.0000
Fe 4.6504 -0.9919 3.4113
Fe 0.5874 1.4178 0.0000
Fe 4.2459 2.2407 0.0000
Fe 4.6504 0.9919 2.0126
Fe 2.2407 3.0712 0.0000
Fe 2.6666 0.9919 3.4113
Fe 0.0000 3.6585 0.0000
Fe 0.9919 2.6666 2.0126
Fe 1.4178 0.5874 5.4239
Fe -0.9919 2.6666 3.4113
Fe -0.5874 1.4178 5.4239
Fe 3.0712 2.2407 5.4239
Fe -0.9919 4.6504 2.0126
Fe -2.2407 3.0712 5.4239
Fe 0.9919 4.6504 3.4113
B 2.4483 1.2102 -1.3129
B 2.4483 -1.2102 4.1110
B 2.4483 1.2102 1.3129
B 2.4483 -1.2102 6.7368
B 1.2102 4.8687 -1.3129
B 1.2102 2.4483 4.1110
B 1.2102 4.8687 1.3129
B 1.2102 2.4483 6.7368
```

Most intense lines, 2θ from 10° to 90°, sorted by position:
- 24.33°, intensity 14
- 28.49°, intensity 23
- 33.03°, intensity 28
- 37.44°, intensity 16
- 38.56°, intensity 17
- 41.45°, intensity 15
- 42.47°, intensity 100
- 50.47°, intensity 24
- 51.65°, intensity 21
- 56.22°, intensity 13

---

2.
Computed X-ray powder pattern of DyFe2B4 for Cu Kα (weighted mean of Kα1 and Kα2), from a GGA-PBE-relaxed structure.

Structure:
```
14
Lattice="3.0618 0.0000 0.0000 0.0000 3.2713 0.0000 0.0000 0.0000 13.8464" Properties=species:S:1:pos:R:3 pbc="T T T"
Dy 0.0000 0.0000 0.0000
Dy 1.5309 1.6356 6.9232
Fe 0.0000 1.6356 4.2555
Fe 0.0000 1.6356 9.5908
Fe 1.5309 0.0000 2.6677
Fe 1.5309 0.0000 11.1787
B 0.0000 0.0000 5.4935
B 0.0000 0.0000 8.3528
B 0.0000 1.6356 2.1867
B 0.0000 1.6356 11.6597
B 1.5309 0.0000 4.7365
B 1.5309 0.0000 9.1098
B 1.5309 1.6356 1.4297
B 1.5309 1.6356 12.4167
```

Most intense lines, 2θ from 10° to 90°, sorted by position:
- 12.79°, intensity 29
- 25.74°, intensity 31
- 28.03°, intensity 73
- 29.89°, intensity 25
- 35.17°, intensity 82
- 39.03°, intensity 25
- 42.50°, intensity 100
- 42.78°, intensity 60
- 68.09°, intensity 23
- 68.57°, intensity 27

---

3.
Computed X-ray powder pattern of DyFe7B3 for Cu Kα (weighted mean of Kα1 and Kα2), from a GGA-PBE-relaxed structure.

Structure:
```
22
Lattice="3.3394 1.9280 6.1729 -3.3394 1.9280 6.1729 0.0000 -3.8560 6.1729" Properties=species:S:1:pos:R:3 pbc="T T T"
Dy 0.0000 0.0000 0.0000
Dy 0.0000 0.0000 9.2594
Fe -2.5717 -0.7134 9.7793
Fe -0.6680 -2.5839 8.7395
Fe -0.6680 -1.2722 6.6929
Fe 0.0000 0.0000 4.6297
Fe -1.9037 1.8705 8.7395
Fe -0.7677 1.2146 6.6929
Fe -1.4357 -0.0575 11.8259
Fe 1.4357 0.0575 6.6929
Fe 0.7677 -1.2146 11.8260
Fe 1.9037 -1.8705 9.7794
Fe 0.0000 0.0000 13.8891
Fe 0.6680 1.2722 11.8260
Fe 0.6680 2.5839 9.7794
Fe 2.5717 0.7134 8.7395
B -2.2500 -0.0412 7.7162
B -1.0894 -1.9692 10.8027
B 1.1607 -1.9280 7.7162
B -1.1607 1.9280 10.8027
B 1.0894 1.9692 7.7162
B 2.2500 0.0412 10.8027
```

Most intense lines, 2θ from 10° to 90°, sorted by position:
- 18.08°, intensity 23
- 26.69°, intensity 36
- 28.93°, intensity 28
- 36.64°, intensity 63
- 41.60°, intensity 40
- 42.04°, intensity 60
- 42.49°, intensity 20
- 45.91°, intensity 100
- 48.34°, intensity 34
- 75.29°, intensity 26